Entry 1:
Be2Tl2ZnO6F8: computed powder X-ray diffraction pattern (Cu Kα, 1.54184 Å), based on a structure optimized by DFT (GGA-PBE).

Structure:
a b c (Å): 5.309 13.823 7.503
angles (deg): 90.00 101.79 90.00
Space group P2_1/c (No. 14)
Inequivalent atoms, fractional coordinates:
Be (0.200, 0.114, 0.401)
Tl (0.306, 0.686, 0.852)
Zn (0.000, 0.000, 0.000)
O (0.113, 0.643, 0.555)
O (0.265, 0.661, 0.431)
O (0.419, 0.034, 0.988)
F (0.062, 0.651, 0.063)
F (0.142, 0.026, 0.265)
F (0.366, 0.080, 0.593)
F (0.366, 0.197, 0.341)

Most intense lines, 2θ from 15° to 90°, low angle first:
d/Å, I_rel, h k l
5.033, 33, 0 2 1
4.864, 100, 1 1 0
4.468, 37, 1 1 -1
3.903, 51, 0 3 1
3.549, 37, 0 1 2
3.298, 29, 1 3 -1
3.127, 22, 0 4 1
2.746, 24, 1 0 2
2.386, 27, 1 5 -1
1.833, 25, 0 5 3

---

Entry 2:
MgMoWS4: computed powder X-ray diffraction pattern (Cu Kα, 1.54184 Å), based on a structure optimized by DFT (GGA-PBE).

Structure:
a b c (Å): 3.1931 3.1931 28.6947
angles (deg): 90.00 90.00 120.00
Space group P3m1 (No. 156)
Inequivalent atoms, fractional coordinates:
Mg (0.0000, 0.0000, 0.0000)
Mo (0.3333, 0.6667, 0.8517)
W (0.6667, 0.3333, 0.1716)
S (0.3333, 0.6667, 0.1167)
S (0.3333, 0.6667, 0.2264)
S (0.6667, 0.3333, 0.7975)
S (0.6667, 0.3333, 0.9069)

Most intense lines, 2θ from 15° to 90°, low angle first:
d/Å, I_rel, h k l
4.782, 57, 0 0 6
2.715, 51, 1 0 2
2.657, 65, 1 0 3
2.580, 62, 0 1 4
2.491, 76, 1 0 5
2.292, 53, 0 1 7
2.190, 100, 1 0 8
1.898, 58, 0 1 11
1.595, 52, 1 1 0
1.574, 41, 1 1 3

---

Entry 3:
Zn5B4Rh8: computed powder X-ray diffraction pattern (Cu Kα, 1.54184 Å), based on a structure optimized by DFT (GGA-PBE).

Structure:
a b c (Å): 8.519 17.157 2.868
angles (deg): 90.00 90.00 90.00
Space group Cmmm (No. 65)
Inequivalent atoms, fractional coordinates:
Zn (0.000, 0.000, 0.000)
Zn (0.000, 0.198, 0.000)
Zn (0.146, 0.500, 0.000)
B (0.189, 0.345, 0.000)
Rh (0.000, 0.376, 0.500)
Rh (0.174, 0.093, 0.500)
Rh (0.250, 0.250, 0.500)

Most intense lines, 2θ from 15° to 90°, low angle first:
d/Å, I_rel, h k l
2.865, 37, 0 0 1
2.382, 63, 0 4 1
2.374, 35, 2 6 0
2.188, 94, 3 5 0
2.081, 22, 2 4 1
2.025, 73, 0 6 1
2.004, 100, 3 1 1
1.434, 21, 0 0 2
1.220, 27, 6 4 1
1.199, 25, 3 5 2